1.
Theoretical powder diffractogram
Compound: Ca2SnSb2Rh5
Radiation: Cu Ka
Structure: the PBE geometry in Alexandria

Largest 10 diffraction maxima, sorted by position, 2θ = 15–90°:
two_theta  I/Imax
17.5  11
19.6  40
34.6  16
36.5  21
36.8  100
39.7  15
40.0  40
43.0  11
44.0  11
48.5  19

Atomic structure:
Unit cell a=10.148 b=10.148 c=3.754 alpha=90.00 beta=90.00 gamma=90.00
Sites, in units of the cell vectors:
Ca 0.171 0.329 0.000
Ca 0.329 0.829 0.000
Ca 0.671 0.171 0.000
Ca 0.829 0.671 0.000
Sn 0.000 0.000 0.000
Sn 0.500 0.500 0.000
Sb 0.128 0.628 0.000
Sb 0.372 0.128 0.000
Sb 0.628 0.872 0.000
Sb 0.872 0.372 0.000
Rh 0.000 0.500 0.500
Rh 0.066 0.799 0.500
Rh 0.201 0.066 0.500
Rh 0.299 0.566 0.500
Rh 0.434 0.299 0.500
Rh 0.500 0.000 0.500
Rh 0.566 0.701 0.500
Rh 0.701 0.434 0.500
Rh 0.799 0.934 0.500
Rh 0.934 0.201 0.500

=====

2.
Theoretical powder diffractogram
Compound: PmEr2Ir3
Radiation: Cu Ka
Structure: the PBE geometry in Alexandria

Largest 7 diffraction maxima, sorted by position, 2θ = 15–90°:
two_theta  I/Imax
25.9  1
36.9  100
53.2  18
66.4  9
66.6  27
78.5  6
78.8  6

Atomic structure:
Unit cell a=4.861 b=4.861 c=5.973 alpha=90.00 beta=90.00 gamma=120.00
Sites, in units of the cell vectors:
Pm 0.000 0.000 0.000
Er 0.333 0.667 0.664
Er 0.667 0.333 0.336
Ir 0.000 0.000 0.500
Ir 0.333 0.667 0.176
Ir 0.667 0.333 0.824

=====

3.
Theoretical powder diffractogram
Compound: BC11
Radiation: Cu Ka
Structure: the PBE geometry in Alexandria

Largest 5 diffraction maxima, sorted by position, 2θ = 15–90°:
two_theta  I/Imax
16.3  1
26.1  1
43.5  100
74.4  26
74.6  13

Atomic structure:
Unit cell a=5.715 b=5.715 c=3.600 alpha=90.00 beta=90.00 gamma=143.32
Sites, in units of the cell vectors:
B 0.000 0.000 0.000
C 0.000 0.500 0.753
C 0.167 0.833 0.500
C 0.170 0.341 0.256
C 0.333 0.667 0.000
C 0.341 0.170 0.744
C 0.500 0.000 0.247
C 0.500 0.500 0.500
C 0.659 0.830 0.744
C 0.667 0.333 0.000
C 0.830 0.659 0.256
C 0.833 0.167 0.500

=====

4.
Theoretical powder diffractogram
Compound: Nb3CoSn
Radiation: Cu Ka
Structure: the PBE geometry in Alexandria

Largest 10 diffraction maxima, sorted by position, 2θ = 15–90°:
two_theta  I/Imax
19.2  4
27.3  16
33.6  100
38.9  92
48.2  7
56.3  62
67.1  40
70.5  21
77.2  4
83.6  10

Atomic structure:
Unit cell a=4.625 b=4.625 c=4.625 alpha=90.00 beta=90.00 gamma=90.00
Sites, in units of the cell vectors:
Nb 0.000 0.000 0.500
Nb 0.000 0.500 0.000
Nb 0.500 0.000 0.000
Co 0.000 0.000 0.000
Sn 0.500 0.500 0.500

=====

5.
Theoretical powder diffractogram
Compound: Ba3LiGe
Radiation: Cu Ka
Structure: the PBE geometry in Alexandria

Largest 10 diffraction maxima, sorted by position, 2θ = 15–90°:
two_theta  I/Imax
25.8  91
26.3  87
26.8  100
27.4  26
28.3  37
30.7  40
32.9  24
33.1  53
52.0  22
56.2  23

Atomic structure:
Unit cell a=7.483 b=7.483 c=11.667 alpha=109.53 beta=109.53 gamma=42.47
Sites, in units of the cell vectors:
Ba 0.003 0.003 0.335
Ba 0.281 0.282 0.133
Ba 0.283 0.283 0.648
Ba 0.717 0.717 0.352
Ba 0.718 0.719 0.867
Ba 0.997 0.997 0.665
Li 0.251 0.749 0.000
Li 0.746 0.254 0.000
Ge 0.398 0.398 0.436
Ge 0.602 0.602 0.564

=====

6.
Theoretical powder diffractogram
Compound: ErGa3
Radiation: Cu Ka
Structure: the PBE geometry in Alexandria

Largest 10 diffraction maxima, sorted by position, 2θ = 15–90°:
two_theta  I/Imax
25.5  26
28.8  10
33.4  25
38.8  100
39.2  23
52.4  14
59.6  17
70.8  17
73.4  12
73.7  17

Atomic structure:
Unit cell a=6.204 b=6.204 c=4.594 alpha=90.00 beta=90.00 gamma=120.00
Sites, in units of the cell vectors:
Er 0.333 0.667 0.250
Er 0.667 0.333 0.750
Ga 0.149 0.297 0.750
Ga 0.149 0.851 0.750
Ga 0.297 0.149 0.250
Ga 0.703 0.851 0.750
Ga 0.851 0.149 0.250
Ga 0.851 0.703 0.250

=====

7.
Theoretical powder diffractogram
Compound: Nd2BeSi3Ni4
Radiation: Cu Ka
Structure: the PBE geometry in Alexandria

Largest 10 diffraction maxima, sorted by position, 2θ = 15–90°:
two_theta  I/Imax
24.0  37
31.4  37
36.1  96
36.8  100
45.0  57
53.4  28
59.0  45
67.8  18
72.3  22
77.6  22

Atomic structure:
Unit cell a=4.030 b=4.030 c=9.484 alpha=90.00 beta=90.00 gamma=90.00
Sites, in units of the cell vectors:
Nd 0.000 0.500 0.245
Nd 0.500 0.000 0.755
Be 0.500 0.500 0.000
Si 0.000 0.000 0.000
Si 0.000 0.500 0.629
Si 0.500 0.000 0.371
Ni 0.000 0.000 0.500
Ni 0.000 0.500 0.880
Ni 0.500 0.000 0.120
Ni 0.500 0.500 0.500

=====

8.
Theoretical powder diffractogram
Compound: Be3Tl4
Radiation: Cu Ka
Structure: the PBE geometry in Alexandria

Largest 10 diffraction maxima, sorted by position, 2θ = 15–90°:
two_theta  I/Imax
22.6  46
28.4  29
29.9  100
32.0  26
35.0  78
40.9  47
47.3  27
50.6  24
52.6  35
70.7  21

Atomic structure:
Unit cell a=15.866 b=15.866 c=15.866 alpha=168.72 beta=168.72 gamma=15.98
Sites, in units of the cell vectors:
Be 0.000 0.000 0.000
Be 0.259 0.259 0.000
Be 0.741 0.741 0.000
Tl 0.164 0.164 0.000
Tl 0.439 0.439 0.000
Tl 0.561 0.561 0.000
Tl 0.836 0.836 0.000

=====

9.
Theoretical powder diffractogram
Compound: YPbSe2O8
Radiation: Cu Ka
Structure: the PBE geometry in Alexandria

Largest 10 diffraction maxima, sorted by position, 2θ = 15–90°:
two_theta  I/Imax
17.7  34
20.0  30
21.1  49
23.1  27
29.1  100
29.5  32
33.7  42
43.0  23
52.0  21
56.6  26

Atomic structure:
Unit cell a=5.372 b=5.372 c=7.783 alpha=90.08 beta=90.08 gamma=68.70
Sites, in units of the cell vectors:
Y 0.000 0.000 0.000
Pb 0.000 0.000 0.500
Se 0.368 0.368 0.234
Se 0.632 0.632 0.766
O 0.212 0.723 0.224
O 0.247 0.247 0.065
O 0.277 0.788 0.776
O 0.280 0.280 0.424
O 0.720 0.720 0.576
O 0.723 0.212 0.224
O 0.753 0.753 0.935
O 0.788 0.277 0.776

=====

10.
Theoretical powder diffractogram
Compound: Cs2Ge2PdS6
Radiation: Cu Ka
Structure: the PBE geometry in Alexandria

Largest 10 diffraction maxima, sorted by position, 2θ = 15–90°:
two_theta  I/Imax
24.4  100
25.2  81
30.3  20
33.3  24
35.4  28
42.5  16
44.0  49
44.5  17
51.8  26
58.1  17

Atomic structure:
Unit cell a=8.584 b=8.584 c=8.584 alpha=48.53 beta=48.53 gamma=48.53
Sites, in units of the cell vectors:
Cs 0.218 0.218 0.218
Cs 0.782 0.782 0.782
Ge 0.399 0.399 0.399
Ge 0.601 0.601 0.601
Pd 0.000 0.000 0.000
S 0.229 0.229 0.760
S 0.229 0.760 0.229
S 0.240 0.771 0.771
S 0.760 0.229 0.229
S 0.771 0.240 0.771
S 0.771 0.771 0.240

=====

11.
Theoretical powder diffractogram
Compound: AcMg2CdPb2
Radiation: Cu Ka
Structure: the PBE geometry in Alexandria

Largest 10 diffraction maxima, sorted by position, 2θ = 15–90°:
two_theta  I/Imax
22.4  31
23.6  79
30.6  67
31.5  100
33.9  90
36.3  39
48.2  39
58.0  26
60.7  29
62.3  28

Atomic structure:
Unit cell a=7.467 b=9.398 c=4.947 alpha=90.00 beta=90.00 gamma=90.00
Sites, in units of the cell vectors:
Ac 0.000 0.000 0.000
Ac 0.500 0.500 0.500
Mg 0.170 0.358 0.000
Mg 0.330 0.858 0.500
Mg 0.670 0.142 0.500
Mg 0.830 0.642 0.000
Cd 0.000 0.500 0.500
Cd 0.500 0.000 0.000
Pb 0.246 0.678 0.000
Pb 0.254 0.178 0.500
Pb 0.746 0.822 0.500
Pb 0.754 0.322 0.000